Record 1
Cr2FeSeS3: simulated PXRD pattern (λ = 1.5418 Å (Cu Kα)), based on a structure optimized by DFT (GGA-PBE).

Top 8 peaks for 2θ = 10–90°, low angle first:
2θ = 17.3°, rel. 51, hkl 2 0 -1; 2θ = 34.5°, rel. 98, hkl 1 1 1; 2θ = 35.0°, rel. 52, hkl 4 0 -2; 2θ = 36.1°, rel. 57, hkl 3 1 0; 2θ = 41.7°, rel. 46, hkl 3 1 -2; 2θ = 44.9°, rel. 75, hkl 3 1 1; 2θ = 45.4°, rel. 74, hkl 5 1 -1; 2θ = 54.3°, rel. 100, hkl 0 2 0

Structural model:
```
data_Cr2FeSeS3
_space_group_name_H-M_alt 'C 1 m 1'
_space_group_IT_number 8
_cell_length_a 12.3762
_cell_length_b 3.3783
_cell_length_c 5.8641
_cell_angle_alpha 90.00
_cell_angle_beta 117.00
_cell_angle_gamma 90.00
loop_
_space_group_symop_operation_xyz
'x,y,z'
'x,-y,z'
'x+1/2,y+1/2,z'
'x+1/2,-y+1/2,z'
loop_
_atom_site_label
_atom_site_type_symbol
_atom_site_fract_x
_atom_site_fract_y
_atom_site_fract_z
Cr1 Cr 0.0000 0.0000 0.0000
Cr2 Cr 0.0239 0.5000 0.6342
Fe1 Fe 0.2763 0.0000 0.3200
Se1 Se 0.1301 0.5000 0.3424
S1 S 0.1524 0.0000 0.8807
S2 S 0.3731 0.0000 0.7554
S3 S 0.4067 0.5000 0.3013
```

---

Record 2
Cr2FeSeS3: simulated PXRD pattern (λ = 1.5418 Å (Cu Kα)), based on a structure optimized by DFT (GGA-PBE).

Top 8 peaks for 2θ = 10–90°, low angle first:
2θ = 15.1°, rel. 26, hkl 1 0 1; 2θ = 24.8°, rel. 38, hkl 2 0 0; 2θ = 29.2°, rel. 71, hkl 1 2 1; 2θ = 29.3°, rel. 34, hkl 0 1 3; 2θ = 35.3°, rel. 55, hkl 2 2 0; 2θ = 35.5°, rel. 28, hkl 0 0 4; 2θ = 46.5°, rel. 34, hkl 3 2 1; 2θ = 51.0°, rel. 100, hkl 4 0 0

Structural model:
```
data_Cr2FeSeS3
_space_group_name_H-M_alt 'I m m 2'
_space_group_IT_number 44
_cell_length_a 7.1726
_cell_length_b 7.1922
_cell_length_c 10.1121
_cell_angle_alpha 90.00
_cell_angle_beta 90.00
_cell_angle_gamma 90.00
loop_
_space_group_symop_operation_xyz
'x,y,z'
'-x,-y,z'
'-x,y,z'
'x,-y,z'
'x+1/2,y+1/2,z+1/2'
'-x+1/2,-y+1/2,z+1/2'
'-x+1/2,y+1/2,z+1/2'
'x+1/2,-y+1/2,z+1/2'
loop_
_atom_site_label
_atom_site_type_symbol
_atom_site_fract_x
_atom_site_fract_y
_atom_site_fract_z
Cr1 Cr 0.0000 0.2490 0.0000
Cr2 Cr 0.2414 0.0000 0.7546
Fe1 Fe 0.0000 0.0000 0.3963
Fe2 Fe 0.0000 0.5000 0.6261
Se1 Se 0.0000 0.2618 0.2491
S1 S 0.0000 0.2360 0.7612
S2 S 0.2285 0.5000 0.0157
S3 S 0.2299 0.0000 0.9937
```

---

Record 3
CrFe4Sb10: simulated PXRD pattern (λ = 1.5418 Å (Cu Kα)), based on a structure optimized by DFT (GGA-PBE).

Top 8 peaks for 2θ = 10–90°, low angle first:
2θ = 31.0°, rel. 100, hkl 1 0 -10; 2θ = 31.9°, rel. 44, hkl 1 1 0; 2θ = 33.2°, rel. 31, hkl 2 0 5; 2θ = 34.8°, rel. 99, hkl 1 1 5; 2θ = 44.0°, rel. 44, hkl 2 1 -5; 2θ = 48.2°, rel. 22, hkl 3 0 -5; 2θ = 50.4°, rel. 69, hkl 0 1 15; 2θ = 67.2°, rel. 21, hkl 1 2 -10

Structural model:
```
data_CrFe4Sb10
_space_group_name_H-M_alt 'P 1 2/m 1'
_space_group_IT_number 10
_cell_length_a 5.9057
_cell_length_b 3.1827
_cell_length_c 33.0075
_cell_angle_alpha 90.00
_cell_angle_beta 90.02
_cell_angle_gamma 90.00
loop_
_space_group_symop_operation_xyz
'x,y,z'
'-x,-y,-z'
'-x,y,-z'
'x,-y,z'
loop_
_atom_site_label
_atom_site_type_symbol
_atom_site_fract_x
_atom_site_fract_y
_atom_site_fract_z
Cr1 Cr 0.9999 0.0000 0.1002
Fe1 Fe 0.9997 0.0000 0.3001
Fe2 Fe 0.0000 0.0000 0.5000
Fe3 Fe 0.4989 0.5000 0.7985
Fe4 Fe 0.5000 0.5000 0.0000
Fe5 Fe 0.5000 0.5000 0.4000
Sb1 Sb 0.1908 0.0000 0.2297
Sb2 Sb 0.1908 0.0000 0.4293
Sb3 Sb 0.1910 0.0000 0.6290
Sb4 Sb 0.1951 0.0000 0.0272
Sb5 Sb 0.1949 0.0000 0.8266
Sb6 Sb 0.3088 0.5000 0.3293
Sb7 Sb 0.3090 0.5000 0.5292
Sb8 Sb 0.3086 0.5000 0.7284
Sb9 Sb 0.3217 0.5000 0.1313
Sb10 Sb 0.3220 0.5000 0.9304
```